[1]
PdS2O7: calculated powder X-ray diffraction pattern (Cu Kα), based on a DFT-relaxed cell (GGA-PBE, the Materials Project).

Principal peaks in the range 2θ from 15° to 90°, sorted by position:
2theta, d_spacing, I/Imax
17.3, 5.114, 27
21.6, 4.108, 12
22.0, 4.038, 100
22.7, 3.920, 50
33.4, 2.681, 11
34.4, 2.603, 41
35.0, 2.565, 15
38.2, 2.354, 12

```
PdS2O7
1.0
5.137 0.000 0.000
0.000 13.067 0.000
-4.937 0.000 8.219
Pd S O
4 8 28
Cartesian
-0.963 1.961 2.730 Pd
-3.431 4.573 6.839 Pd
3.632 8.495 1.380 Pd
1.163 11.106 5.489 Pd
-1.465 8.979 4.777 S
1.003 10.621 0.668 S
-1.534 0.305 5.709 S
0.935 6.229 1.599 S
-0.735 6.838 6.619 S
1.734 12.763 2.510 S
-0.803 2.446 7.551 S
1.665 4.088 3.442 S
-0.328 2.325 0.618 O
-2.796 4.209 4.727 O
-0.333 6.727 2.148 O
-2.801 12.873 6.258 O
-1.716 1.443 4.806 O
0.753 5.090 0.697 O
-2.237 9.742 5.759 O
0.231 9.859 1.650 O
-1.542 7.399 5.302 O
0.927 12.202 1.193 O
-2.225 2.775 7.598 O
0.243 3.759 3.489 O
1.812 7.266 1.085 O
-0.657 12.334 5.195 O
0.857 0.733 3.024 O
-1.611 5.801 7.133 O
-0.043 9.309 4.730 O
2.426 10.292 0.621 O
-0.727 0.865 7.026 O
1.742 5.668 2.917 O
-0.031 3.208 6.569 O
2.438 3.326 2.460 O
-0.553 7.977 7.522 O
1.916 11.624 3.412 O
3.002 0.194 1.961 O
0.533 6.340 6.070 O
2.997 8.858 3.491 O
0.528 10.742 7.601 O
```

---

[2]
SbPdO3: calculated powder X-ray diffraction pattern (Cu Kα), based on a DFT-relaxed cell (GGA-PBE, the Materials Project).

Principal peaks in the range 2θ from 15° to 90°, sorted by position:
2theta, d_spacing, I/Imax
22.3, 3.993, 2
31.7, 2.824, 100
39.1, 2.306, 1
45.4, 1.997, 31
56.4, 1.630, 39
66.2, 1.412, 18
75.2, 1.263, 17
83.9, 1.153, 6

```
SbPdO3
1.0
3.993 0.000 0.000
0.000 3.993 0.000
0.000 0.000 3.993
Sb Pd O
1 1 3
Cartesian
0.000 0.000 0.000 Sb
1.997 1.997 1.997 Pd
0.000 0.000 1.997 O
0.000 1.997 0.000 O
1.997 0.000 0.000 O
```

---

[3]
PdSeO4: calculated powder X-ray diffraction pattern (Cu Kα), based on a DFT-relaxed cell (GGA-PBE, the Materials Project).

Principal peaks in the range 2θ from 15° to 90°, sorted by position:
2theta, d_spacing, I/Imax
18.8, 4.711, 49
21.3, 4.172, 27
22.2, 3.996, 100
28.2, 3.165, 20
29.3, 3.047, 24
32.1, 2.792, 19
36.9, 2.437, 27
38.4, 2.343, 34

```
PdSeO4
1.0
4.166 -2.861 0.000
4.166 2.861 0.000
-0.717 0.000 8.169
Pd Se O
2 2 8
Cartesian
2.083 1.430 0.000 Pd
1.724 -1.430 4.084 Pd
3.628 2.489 6.126 Se
3.987 -2.489 2.042 Se
0.864 0.543 6.405 O
3.281 1.508 7.474 O
3.975 1.508 4.778 O
1.223 -0.543 2.321 O
6.392 0.543 5.848 O
3.640 -1.508 3.390 O
4.334 -1.508 0.694 O
6.751 -0.543 1.763 O
```

---

[4]
PdSeO4: calculated powder X-ray diffraction pattern (Cu Kα), based on a DFT-relaxed cell (GGA-PBE, the Materials Project).

Principal peaks in the range 2θ from 15° to 90°, sorted by position:
2theta, d_spacing, I/Imax
17.8, 4.987, 57
20.2, 4.398, 25
22.0, 4.035, 100
27.6, 3.228, 24
29.7, 3.009, 22
36.1, 2.486, 42
37.2, 2.419, 26
44.8, 2.023, 15

```
PdSeO4
1.0
3.983 -3.221 0.000
3.983 3.221 0.000
-1.183 0.000 7.821
Pd Se O
2 2 8
Cartesian
1.991 1.611 0.000 Pd
1.400 -1.611 3.911 Pd
3.095 2.779 5.866 Se
3.687 -2.779 1.955 Se
0.525 0.446 6.176 O
2.742 1.810 7.219 O
3.449 1.810 4.513 O
1.117 -0.446 2.265 O
5.665 0.446 5.557 O
3.333 -1.810 3.309 O
4.041 -1.810 0.602 O
6.257 -0.446 1.646 O
```

---

[5]
Sr15Pd5O24: calculated powder X-ray diffraction pattern (Cu Kα), based on a DFT-relaxed cell (GGA-PBE, the Materials Project).

Principal peaks in the range 2θ from 15° to 90°, sorted by position:
2theta, d_spacing, I/Imax
18.1, 4.893, 30
28.9, 3.090, 61
31.6, 2.828, 100
36.8, 2.442, 30
41.3, 2.187, 30
43.4, 2.086, 36
56.4, 1.632, 34
56.5, 1.629, 16

```
Sr15Pd5O24
1.0
4.886 -4.899 0.000
4.886 4.899 0.000
-0.063 0.000 13.825
Sr Pd O
15 5 24
Cartesian
0.000 0.000 0.000 Sr
3.017 1.801 12.900 Sr
4.832 3.610 10.372 Sr
3.057 1.796 6.032 Sr
4.877 3.610 3.453 Sr
3.062 0.521 2.540 Sr
3.097 0.464 9.400 Sr
6.652 1.796 7.793 Sr
6.691 1.801 0.924 Sr
6.611 0.464 4.425 Sr
4.886 -1.297 0.000 Sr
6.646 0.521 11.285 Sr
4.819 -2.566 10.294 Sr
4.890 -2.566 3.531 Sr
4.854 -4.809 6.912 Sr
2.388 -1.289 12.090 Pd
2.428 -1.292 5.197 Pd
4.854 -1.279 6.912 Pd
7.281 -1.292 8.627 Pd
7.321 -1.289 1.735 Pd
1.275 0.398 11.586 O
1.322 0.388 4.686 O
4.155 2.577 8.241 O
4.186 2.563 1.322 O
5.554 2.577 5.584 O
5.522 2.563 12.503 O
2.520 -0.643 0.252 O
2.555 -0.673 7.151 O
2.308 -1.941 10.119 O
2.372 -1.927 3.218 O
4.154 -0.245 11.666 O
4.193 -0.291 4.891 O
5.555 -0.245 2.159 O
5.515 -0.291 8.934 O
3.570 -2.918 5.739 O
3.499 -2.980 12.593 O
7.154 -0.673 6.673 O
7.189 -0.643 13.573 O
8.387 0.388 9.139 O
8.434 0.398 2.239 O
6.139 -2.918 8.086 O
6.210 -2.980 1.232 O
7.337 -1.927 10.607 O
7.400 -1.941 3.705 O
```

---

[6]
Sr15Pd5O24: calculated powder X-ray diffraction pattern (Cu Kα), based on a DFT-relaxed cell (GGA-PBE, the Materials Project).

Principal peaks in the range 2θ from 15° to 90°, sorted by position:
2theta, d_spacing, I/Imax
18.1, 4.905, 30
28.8, 3.097, 60
31.6, 2.835, 100
36.7, 2.447, 29
41.2, 2.191, 41
43.3, 2.091, 37
49.1, 1.854, 15
56.2, 1.635, 42

```
Sr15Pd5O24
1.0
4.911 2.835 7.979
-4.911 2.835 7.979
0.000 -5.670 7.979
Sr Pd O
15 5 24
Cartesian
0.000 0.000 0.000 Sr
-1.799 -2.553 7.979 Sr
-3.079 0.285 10.029 Sr
-1.763 -3.054 11.969 Sr
0.000 0.000 5.987 Sr
-3.079 -0.285 13.909 Sr
-1.312 2.835 7.979 Sr
1.292 -2.809 10.029 Sr
-1.763 3.054 11.969 Sr
1.786 -2.524 13.909 Sr
-1.799 2.553 15.958 Sr
1.786 2.524 10.029 Sr
0.000 0.000 17.950 Sr
3.526 0.000 11.969 Sr
1.292 2.809 13.909 Sr
0.000 0.000 2.992 Pd
0.000 0.000 8.985 Pd
0.000 0.000 11.969 Pd
0.000 0.000 14.953 Pd
0.000 0.000 20.945 Pd
-3.875 -1.490 11.761 O
-1.045 -4.299 9.769 O
-3.201 -3.055 14.168 O
-1.692 0.230 7.783 O
-3.875 1.490 12.176 O
-1.008 -1.285 10.238 O
-3.201 3.055 9.769 O
0.647 -1.581 7.783 O
0.647 -4.101 12.176 O
-0.609 -1.515 13.699 O
-0.609 1.515 10.238 O
-1.692 -0.230 16.154 O
1.046 1.350 7.783 O
-1.008 1.285 13.699 O
1.616 -0.230 10.238 O
3.228 -2.610 11.761 O
1.046 -1.350 16.154 O
-1.045 4.299 14.168 O
1.616 0.230 13.699 O
0.647 4.101 11.761 O
0.647 1.581 16.154 O
4.246 1.245 9.769 O
4.246 -1.245 14.168 O
3.228 2.610 12.176 O
```

---

[7]
SrPdO3: calculated powder X-ray diffraction pattern (Cu Kα), based on a DFT-relaxed cell (GGA-PBE, the Materials Project).

Principal peaks in the range 2θ from 15° to 90°, sorted by position:
2theta, d_spacing, I/Imax
22.0, 4.039, 6
31.3, 2.856, 100
44.9, 2.020, 33
50.5, 1.807, 2
55.7, 1.649, 39
65.3, 1.428, 20
74.2, 1.277, 17
82.8, 1.166, 7

```
SrPdO3
1.0
4.039 0.000 0.000
0.000 4.039 0.000
0.000 0.000 4.039
Sr Pd O
1 1 3
Cartesian
0.000 0.000 0.000 Sr
2.020 2.020 2.020 Pd
0.000 2.020 2.020 O
2.020 0.000 2.020 O
2.020 2.020 0.000 O
```

---

[8]
SrPd3O4: calculated powder X-ray diffraction pattern (Cu Kα), based on a DFT-relaxed cell (GGA-PBE, the Materials Project).

Principal peaks in the range 2θ from 15° to 90°, sorted by position:
2theta, d_spacing, I/Imax
33.8, 2.649, 100
37.2, 2.418, 64
53.6, 1.710, 16
56.0, 1.643, 23
58.3, 1.583, 34
62.7, 1.481, 19
73.2, 1.293, 20
89.0, 1.100, 19

```
SrPd3O4
1.0
5.923 0.000 0.000
0.000 5.923 0.000
0.000 0.000 5.923
Sr Pd O
2 6 8
Cartesian
0.000 0.000 0.000 Sr
2.962 2.962 2.962 Sr
0.000 1.481 2.962 Pd
0.000 4.443 2.962 Pd
1.481 2.962 0.000 Pd
2.962 0.000 1.481 Pd
2.962 0.000 4.443 Pd
4.443 2.962 0.000 Pd
1.481 1.481 1.481 O
1.481 1.481 4.443 O
1.481 4.443 1.481 O
1.481 4.443 4.443 O
4.443 1.481 1.481 O
4.443 1.481 4.443 O
4.443 4.443 1.481 O
4.443 4.443 4.443 O
```

---

[9]
TePdO3: calculated powder X-ray diffraction pattern (Cu Kα), based on a DFT-relaxed cell (GGA-PBE, the Materials Project).

Principal peaks in the range 2θ from 15° to 90°, sorted by position:
2theta, d_spacing, I/Imax
21.9, 4.065, 3
31.1, 2.875, 100
44.6, 2.033, 31
50.2, 1.818, 1
55.4, 1.660, 40
64.9, 1.437, 19
73.7, 1.286, 17
82.1, 1.174, 6

```
TePdO3
1.0
4.065 0.000 0.000
0.000 4.065 0.000
0.000 0.000 4.065
Te Pd O
1 1 3
Cartesian
0.000 0.000 0.000 Te
2.033 2.033 2.033 Pd
0.000 0.000 2.033 O
0.000 2.033 0.000 O
2.033 0.000 0.000 O
```

---

[10]
ThPdO3: calculated powder X-ray diffraction pattern (Cu Kα), based on a DFT-relaxed cell (GGA-PBE, the Materials Project).

Principal peaks in the range 2θ from 15° to 90°, sorted by position:
2theta, d_spacing, I/Imax
22.0, 4.046, 10
31.3, 2.861, 100
38.5, 2.336, 10
44.8, 2.023, 27
55.6, 1.652, 41
65.2, 1.430, 17
74.1, 1.279, 18
82.6, 1.168, 6

```
ThPdO3
1.0
4.046 0.000 0.000
0.000 4.046 0.000
0.000 0.000 4.046
Th Pd O
1 1 3
Cartesian
0.000 0.000 0.000 Th
2.023 2.023 2.023 Pd
0.000 2.023 2.023 O
2.023 0.000 2.023 O
2.023 2.023 0.000 O
```

---

[11]
Ti3PdO: calculated powder X-ray diffraction pattern (Cu Kα), based on a DFT-relaxed cell (GGA-PBE, the Materials Project).

Principal peaks in the range 2θ from 15° to 90°, sorted by position:
2theta, d_spacing, I/Imax
30.5, 2.928, 19
31.3, 2.858, 15
38.0, 2.371, 100
42.6, 2.123, 26
44.9, 2.021, 36
63.6, 1.464, 24
74.9, 1.268, 12
78.1, 1.224, 15

```
Ti3PdO
1.0
-2.858 2.858 4.247
2.858 -2.858 4.247
2.858 2.858 -4.247
Ti Pd O
6 2 2
Cartesian
4.043 1.185 0.000 Ti
0.000 0.000 2.123 Ti
1.185 1.673 0.000 Ti
1.673 1.185 4.247 Ti
0.000 0.000 6.370 Ti
-1.185 1.673 4.247 Ti
2.858 0.000 2.123 Pd
0.000 2.858 2.123 Pd
0.000 0.000 0.000 O
0.000 0.000 4.247 O
```